PuNp6N12: simulated powder XRD pattern (copper Kα), based on a crystal structure in Alexandria, relaxed with PBE.
No peak broadening, texture or thermal motion is included.

Principal peaks in the range 10 to 90 degrees two-theta, in order of rising 2θ:
2θ 29.3, intensity 100
2θ 29.5, intensity 33
2θ 34.0, intensity 55
2θ 48.8, intensity 27
2θ 49.0, intensity 28
2θ 58.0, intensity 42
2θ 58.2, intensity 14
2θ 60.8, intensity 11
2θ 79.1, intensity 10
2θ 81.9, intensity 9

Cell and atoms:
a b c (Å): 9.8757 9.8757 9.0958
angles (deg): 90.00 90.00 120.00
Space group R-3 (No. 148, hexagonal axes)
One atom of each set of equivalent atoms:
Pu: 0.0000 0.0000 0.0000
Np: 0.0484 0.7929 0.6569
N: 0.0337 0.8088 0.4010
N: 0.0410 0.8242 0.8954